# 1
The following is a theoretical PXRD pattern of Tb6TmSc. It was derived from a DFT-relaxed cell (PBE, Alexandria), using Cu Kα X-rays.
Peak positions follow from Bragg's law for the DFT cell and can differ from measured ones.

Peak list (12 most intense, 10° ≤ 2θ ≤ 80°, most intense first)
31.17 deg, intensity 100; 52.05 deg, intensity 36; 36.11 deg, intensity 34; 61.88 deg, intensity 28; 36.22 deg, intensity 17; 62.02 deg, intensity 14; 65.01 deg, intensity 12; 76.62 deg, intensity 4; 19.97 deg, intensity 3; 26.91 deg, intensity 3; 17.85 deg, intensity 2; 25.34 deg, intensity 2

Atomic structure:
```
Tb6TmSc
1.0
4.974 0.000 0.000
0.000 4.974 0.000
0.000 0.000 9.921
Tb Tm Sc
6 1 1
Direct
0.000 0.000 0.000 Tb
0.000 0.000 0.500 Tb
0.000 0.500 0.246 Tb
0.000 0.500 0.754 Tb
0.500 0.000 0.246 Tb
0.500 0.000 0.754 Tb
0.500 0.500 0.500 Tm
0.500 0.500 0.000 Sc
```

# 2
The following is a theoretical PXRD pattern of TbTm3Sc2. It was derived from a DFT-relaxed cell (PBE, Alexandria), using Cu Kα X-rays.
Peak positions follow from Bragg's law for the DFT cell and can differ from measured ones.

Peak list (12 most intense, 10° ≤ 2θ ≤ 80°, most intense first)
10.52 deg, intensity 100; 32.46 deg, intensity 77; 31.94 deg, intensity 75; 33.73 deg, intensity 69; 33.96 deg, intensity 58; 32.16 deg, intensity 50; 29.38 deg, intensity 38; 32.33 deg, intensity 33; 38.63 deg, intensity 30; 21.14 deg, intensity 25; 33.48 deg, intensity 24; 38.73 deg, intensity 24

Atomic structure:
```
TbTm3Sc2
1.0
11.174 -1.683 0.000
11.174 1.683 0.000
-3.020 0.000 9.309
Tb Tm Sc
2 6 4
Direct
0.185 0.185 0.044 Tb
0.815 0.815 0.956 Tb
0.059 0.059 0.434 Tm
0.197 0.197 0.708 Tm
0.431 0.431 0.230 Tm
0.569 0.569 0.770 Tm
0.803 0.803 0.292 Tm
0.941 0.941 0.566 Tm
0.192 0.192 0.374 Sc
0.429 0.429 0.861 Sc
0.571 0.571 0.139 Sc
0.808 0.808 0.626 Sc
```

# 3
The following is a theoretical PXRD pattern of Tb5Tm2Sc4. It was derived from a DFT-relaxed cell (PBE, Alexandria), using Cu Kα X-rays.
Peak positions follow from Bragg's law for the DFT cell and can differ from measured ones.

Peak list (12 most intense, 10° ≤ 2θ ≤ 80°, most intense first)
25.48 deg, intensity 100; 32.70 deg, intensity 55; 32.92 deg, intensity 51; 36.38 deg, intensity 50; 34.34 deg, intensity 42; 31.87 deg, intensity 38; 31.24 deg, intensity 32; 31.44 deg, intensity 31; 63.71 deg, intensity 30; 52.35 deg, intensity 29; 33.48 deg, intensity 29; 35.97 deg, intensity 28

Atomic structure:
```
Tb5Tm2Sc4
1.0
8.697 0.000 0.000
0.000 3.495 0.000
-0.805 0.000 10.706
Tb Tm Sc
5 2 4
Direct
0.000 0.000 0.000 Tb
0.049 0.000 0.335 Tb
0.353 0.000 0.867 Tb
0.647 0.000 0.133 Tb
0.951 0.000 0.665 Tb
0.426 0.000 0.365 Tm
0.574 0.000 0.635 Tm
0.255 0.500 0.575 Sc
0.299 0.500 0.131 Sc
0.701 0.500 0.869 Sc
0.745 0.500 0.425 Sc
```

# 4
The following is a theoretical PXRD pattern of Tb8Tm5Sc. It was derived from a DFT-relaxed cell (PBE, Alexandria), using Cu Kα X-rays.
Peak positions follow from Bragg's law for the DFT cell and can differ from measured ones.

Peak list (12 most intense, 10° ≤ 2θ ≤ 80°, most intense first)
34.26 deg, intensity 100; 29.84 deg, intensity 71; 29.68 deg, intensity 55; 28.42 deg, intensity 43; 35.34 deg, intensity 41; 34.94 deg, intensity 33; 55.85 deg, intensity 24; 32.19 deg, intensity 23; 63.99 deg, intensity 18; 61.98 deg, intensity 13; 60.15 deg, intensity 12; 57.03 deg, intensity 12

Atomic structure:
```
Tb8Tm5Sc
1.0
-4.735 4.735 4.994
4.735 -4.735 4.994
4.735 4.735 -4.994
Tb Tm Sc
8 5 1
Direct
0.085 0.677 0.769 Tb
0.168 0.274 0.757 Tb
0.323 0.092 0.408 Tb
0.517 0.411 0.243 Tb
0.589 0.832 0.106 Tb
0.684 0.915 0.592 Tb
0.726 0.483 0.894 Tb
0.908 0.316 0.231 Tb
0.219 0.619 0.186 Tm
0.381 0.567 0.600 Tm
0.433 0.033 0.814 Tm
0.750 0.250 0.500 Tm
0.967 0.781 0.400 Tm
0.000 0.000 0.000 Sc
```

# 5
The following is a theoretical PXRD pattern of Tb3Tm2Sc2. It was derived from a DFT-relaxed cell (PBE, Alexandria), using Cu Kα X-rays.
Peak positions follow from Bragg's law for the DFT cell and can differ from measured ones.

Peak list (12 most intense, 10° ≤ 2θ ≤ 80°, most intense first)
32.90 deg, intensity 100; 29.30 deg, intensity 71; 14.15 deg, intensity 47; 32.47 deg, intensity 46; 32.12 deg, intensity 38; 33.55 deg, intensity 38; 29.79 deg, intensity 33; 35.48 deg, intensity 28; 37.23 deg, intensity 24; 33.22 deg, intensity 22; 57.87 deg, intensity 19; 46.87 deg, intensity 16

Atomic structure:
```
Tb3Tm2Sc2
1.0
6.266 0.000 0.000
0.000 10.470 0.000
-0.274 0.000 6.372
Tb Tm Sc
6 4 4
Direct
0.000 0.000 0.000 Tb
0.000 0.500 0.500 Tb
0.256 0.058 0.524 Tb
0.256 0.442 0.024 Tb
0.744 0.558 0.976 Tb
0.744 0.942 0.476 Tb
0.140 0.743 0.748 Tm
0.140 0.757 0.248 Tm
0.860 0.243 0.752 Tm
0.860 0.257 0.252 Tm
0.451 0.146 0.026 Sc
0.451 0.354 0.526 Sc
0.549 0.646 0.474 Sc
0.549 0.854 0.974 Sc
```

# 6
The following is a theoretical PXRD pattern of Tb2Tm12Sc. It was derived from a DFT-relaxed cell (PBE, Alexandria), using Cu Kα X-rays.
Peak positions follow from Bragg's law for the DFT cell and can differ from measured ones.

Peak list (12 most intense, 10° ≤ 2θ ≤ 80°, most intense first)
29.14 deg, intensity 100; 33.52 deg, intensity 91; 32.62 deg, intensity 74; 31.84 deg, intensity 72; 57.26 deg, intensity 56; 38.79 deg, intensity 50; 40.28 deg, intensity 47; 33.14 deg, intensity 45; 30.30 deg, intensity 37; 29.73 deg, intensity 33; 64.93 deg, intensity 25; 10.91 deg, intensity 24

Atomic structure:
```
Tb2Tm12Sc
1.0
6.332 0.000 0.000
0.000 6.332 0.000
0.000 0.000 24.325
Tb Tm Sc
4 24 2
Direct
0.250 0.750 0.228 Tb
0.250 0.750 0.772 Tb
0.750 0.250 0.228 Tb
0.750 0.250 0.772 Tb
0.063 0.563 0.389 Tm
0.063 0.937 0.611 Tm
0.081 0.581 0.061 Tm
0.081 0.919 0.939 Tm
0.250 0.250 0.161 Tm
0.250 0.250 0.288 Tm
0.250 0.250 0.712 Tm
0.250 0.250 0.839 Tm
0.419 0.581 0.939 Tm
0.419 0.919 0.061 Tm
0.437 0.563 0.611 Tm
0.437 0.937 0.389 Tm
0.563 0.063 0.611 Tm
0.563 0.437 0.389 Tm
0.581 0.081 0.939 Tm
0.581 0.419 0.061 Tm
0.750 0.750 0.161 Tm
0.750 0.750 0.288 Tm
0.750 0.750 0.712 Tm
0.750 0.750 0.839 Tm
0.919 0.081 0.061 Tm
0.919 0.419 0.939 Tm
0.937 0.063 0.389 Tm
0.937 0.437 0.611 Tm
0.250 0.750 0.500 Sc
0.750 0.250 0.500 Sc
```

# 7
The following is a theoretical PXRD pattern of Tb2Tm7Sc2. It was derived from a DFT-relaxed cell (PBE, Alexandria), using Cu Kα X-rays.
Peak positions follow from Bragg's law for the DFT cell and can differ from measured ones.

Peak list (12 most intense, 10° ≤ 2θ ≤ 80°, most intense first)
33.63 deg, intensity 100; 32.06 deg, intensity 73; 33.00 deg, intensity 46; 33.88 deg, intensity 40; 30.88 deg, intensity 33; 28.65 deg, intensity 30; 32.14 deg, intensity 30; 36.75 deg, intensity 26; 28.09 deg, intensity 26; 26.55 deg, intensity 24; 59.20 deg, intensity 22; 57.47 deg, intensity 21

Atomic structure:
```
Tb2Tm7Sc2
1.0
4.431 -4.611 0.000
4.431 4.611 0.000
-1.883 0.000 8.101
Tb Tm Sc
2 7 2
Direct
0.181 0.819 0.000 Tb
0.819 0.181 0.000 Tb
0.040 0.409 0.695 Tm
0.342 0.342 0.088 Tm
0.409 0.040 0.695 Tm
0.500 0.500 0.500 Tm
0.591 0.960 0.305 Tm
0.658 0.658 0.912 Tm
0.960 0.591 0.305 Tm
0.106 0.106 0.350 Sc
0.894 0.894 0.650 Sc
```

# 8
The following is a theoretical PXRD pattern of TbTm5Sc5. It was derived from a DFT-relaxed cell (PBE, Alexandria), using Cu Kα X-rays.
Peak positions follow from Bragg's law for the DFT cell and can differ from measured ones.

Peak list (12 most intense, 10° ≤ 2θ ≤ 80°, most intense first)
29.99 deg, intensity 100; 31.11 deg, intensity 87; 54.66 deg, intensity 38; 59.19 deg, intensity 26; 43.75 deg, intensity 25; 32.15 deg, intensity 25; 36.96 deg, intensity 24; 55.34 deg, intensity 21; 49.02 deg, intensity 18; 39.63 deg, intensity 17; 64.86 deg, intensity 16; 73.09 deg, intensity 16

Atomic structure:
```
TbTm5Sc5
1.0
5.750 0.000 0.000
-2.875 4.980 0.000
0.000 0.000 11.156
Tb Tm Sc
1 5 5
Direct
0.000 0.000 0.000 Tb
0.000 0.000 0.321 Tm
0.000 0.000 0.679 Tm
0.333 0.667 0.161 Tm
0.333 0.667 0.839 Tm
0.667 0.333 0.000 Tm
0.502 0.003 0.500 Sc
0.502 0.498 0.500 Sc
0.667 0.333 0.268 Sc
0.667 0.333 0.732 Sc
0.997 0.498 0.500 Sc
```